Computed XRD peak list of Hf5Ti3Sn3 for CuKα, from a crystal structure in Alexandria, relaxed with GGA-PBE.
Lines closer than 0.1° are merged.

Top 12 peaks for 5° ≤ 2θ ≤ 70°, sorted by position:
hkl 1 0 0, 8.415 Å, 10.51 deg, I = 28; hkl 1 1 0, 4.858 Å, 18.26 deg, I = 18; hkl 2 1 0, 3.180 Å, 28.06 deg, I = 58; hkl 0 0 1, 3.018 Å, 29.60 deg, I = 18; hkl 3 0 0, 2.805 Å, 31.91 deg, I = 32; hkl 1 1 1, 2.564 Å, 35.00 deg, I = 100; hkl 2 2 0, 2.429 Å, 37.01 deg, I = 39; hkl 3 1 0, 2.334 Å, 38.58 deg, I = 43; hkl 2 1 1, 2.189 Å, 41.23 deg, I = 46; hkl 3 1 1, 1.846 Å, 49.36 deg, I = 42; hkl 4 1 1, 1.569 Å, 58.87 deg, I = 39; hkl 6 0 0, 1.402 Å, 66.69 deg, I = 19

Atomic structure:
a b c (Å): 9.7164 9.7164 3.0184
angles (deg): 90.00 90.00 120.00
Fractional coordinates of all 11 atoms:
1 Hf 0.0000 0.1684 0.0000
2 Hf 0.1684 0.0000 0.0000
3 Hf 0.3333 0.6667 0.0000
4 Hf 0.6667 0.3333 0.0000
5 Hf 0.8316 0.8316 0.0000
6 Ti 0.0000 0.4342 0.0000
7 Ti 0.4342 0.0000 0.0000
8 Ti 0.5658 0.5658 0.0000
9 Sn 0.0000 0.6764 0.5000
10 Sn 0.3236 0.3236 0.5000
11 Sn 0.6764 0.0000 0.5000